BaTaN2O: theoretical powder diffraction line list (copper Kα), based on a GGA-PBE-relaxed structure.

Cell and atoms:
Cell: 7.196 7.196 7.196 Å, 109.52 109.52 109.38°
Element x y z (fractional)
Ba1 0.239 0.239 0.000
Ba2 0.250 0.750 0.500
Ba3 0.750 0.250 0.500
Ba4 0.761 0.761 0.000
Ta1 0.255 0.255 0.510
Ta2 0.255 0.745 0.000
Ta3 0.745 0.255 0.000
Ta4 0.745 0.745 0.490
N1 0.000 0.000 0.500
N2 0.000 0.500 0.000
N3 0.251 0.500 0.751
N4 0.500 0.000 0.000
N5 0.500 0.251 0.751
N6 0.500 0.500 0.500
N7 0.500 0.749 0.249
N8 0.749 0.500 0.249
O1 0.000 0.248 0.248
O2 0.000 0.752 0.752
O3 0.248 0.000 0.248
O4 0.752 0.000 0.752

Peak list (10 most intense, 10° ≤ 2θ ≤ 90°, by angle)
21.39 deg, I 5
30.43 deg, I 100
43.57 deg, I 26
54.07 deg, I 40
63.32 deg, I 17
71.78 deg, I 6
71.90 deg, I 12
80.00 deg, I 6
87.92 deg, I 14
88.00 deg, I 7

***

PmSmS3: theoretical powder diffraction line list (copper Kα), based on a GGA-PBE-relaxed structure.

Cell and atoms:
Cell: 4.472 4.472 7.212 Å, 90.00 90.00 120.00°
Element x y z (fractional)
Pm1 0.000 0.000 0.000
Sm1 0.333 0.667 0.478
S1 0.000 0.000 0.596
S2 0.333 0.667 0.878
S3 0.667 0.333 0.239

Peak list (10 most intense, 10° ≤ 2θ ≤ 90°, by angle)
22.96 deg, I 33
24.69 deg, I 31
26.12 deg, I 100
33.97 deg, I 47
40.33 deg, I 53
44.35 deg, I 41
47.87 deg, I 32
48.69 deg, I 19
65.01 deg, I 16
76.14 deg, I 16

***

LiScAl2Cu4: theoretical powder diffraction line list (copper Kα), based on a GGA-PBE-relaxed structure.

Cell and atoms:
Cell: 7.492 7.492 7.492 Å, 133.00 133.00 68.65°
Element x y z (fractional)
Li1 0.375 0.625 0.750
Li2 0.625 0.375 0.250
Sc1 0.125 0.875 0.250
Sc2 0.875 0.125 0.750
Al1 0.119 0.369 0.750
Al2 0.369 0.119 0.250
Al3 0.631 0.881 0.750
Al4 0.881 0.631 0.250
Cu1 0.000 0.270 0.270
Cu2 0.000 0.730 0.730
Cu3 0.270 0.000 0.770
Cu4 0.270 0.500 0.270
Cu5 0.500 0.270 0.770
Cu6 0.500 0.730 0.230
Cu7 0.730 0.000 0.230
Cu8 0.730 0.500 0.730

Peak list (10 most intense, 10° ≤ 2θ ≤ 90°, by angle)
28.86 deg, I 15
29.91 deg, I 26
34.33 deg, I 6
42.04 deg, I 100
42.81 deg, I 46
52.45 deg, I 10
59.79 deg, I 8
62.14 deg, I 14
76.30 deg, I 15
77.88 deg, I 26

***

RbGePIr2: theoretical powder diffraction line list (copper Kα), based on a GGA-PBE-relaxed structure.

Cell and atoms:
Cell: 7.555 7.555 7.555 Å, 149.07 149.07 44.31°
Element x y z (fractional)
Rb1 0.000 0.000 0.000
Ge1 0.346 0.346 0.000
P1 0.655 0.655 0.000
Ir1 0.239 0.739 0.500
Ir2 0.739 0.239 0.500

Peak list (10 most intense, 10° ≤ 2θ ≤ 90°, by angle)
12.65 deg, I 100
25.46 deg, I 27
29.29 deg, I 20
33.98 deg, I 68
40.85 deg, I 32
45.00 deg, I 27
46.94 deg, I 16
50.58 deg, I 35
52.41 deg, I 16
71.45 deg, I 16

***

LiIrSeO: theoretical powder diffraction line list (copper Kα), based on a GGA-PBE-relaxed structure.

Cell and atoms:
Cell: 5.941 6.488 5.700 Å, 90.00 109.30 90.00°
Element x y z (fractional)
Li1 0.220 0.221 0.444
Li2 0.220 0.279 0.944
Li3 0.780 0.721 0.056
Li4 0.780 0.779 0.556
Ir1 0.224 0.609 0.261
Ir2 0.224 0.891 0.761
Ir3 0.776 0.109 0.239
Ir4 0.776 0.391 0.739
Se1 0.392 0.556 0.710
Se2 0.392 0.944 0.210
Se3 0.608 0.056 0.790
Se4 0.608 0.444 0.290
O1 0.005 0.173 0.632
O2 0.005 0.327 0.132
O3 0.995 0.673 0.868
O4 0.995 0.827 0.368

Peak list (10 most intense, 10° ≤ 2θ ≤ 90°, by angle)
20.94 deg, I 100
23.23 deg, I 64
31.92 deg, I 24
32.22 deg, I 32
33.31 deg, I 61
33.74 deg, I 30
41.68 deg, I 42
44.92 deg, I 38
48.04 deg, I 25
50.02 deg, I 35

***

Y4InCuN2: theoretical powder diffraction line list (copper Kα), based on a GGA-PBE-relaxed structure.

Cell and atoms:
Cell: 3.518 3.518 14.959 Å, 90.00 90.00 120.00°
Element x y z (fractional)
Y1 0.000 0.000 0.140
Y2 0.000 0.000 0.860
Y3 0.333 0.667 0.322
Y4 0.333 0.667 0.678
In1 0.000 0.000 0.500
Cu1 0.333 0.667 0.000
N1 0.667 0.333 0.239
N2 0.667 0.333 0.761

Peak list (10 most intense, 10° ≤ 2θ ≤ 90°, by angle)
29.31 deg, I 24
31.71 deg, I 9
34.50 deg, I 100
36.02 deg, I 13
47.10 deg, I 12
51.98 deg, I 24
57.86 deg, I 10
63.89 deg, I 16
64.87 deg, I 13
86.78 deg, I 16